[1]
TaNbNi2B2: simulated XRD peak list (Cu Kα, 1.54184 Å), based on a crystal structure in OQMD, relaxed with GGA-PBE.
Kinematic intensities with the Lorentz-polarization factor, no thermal factor.

Main lines, low angle first (2θ = 10–80°):
2theta, I_rel, index
27.90, 49, 0 1 1
32.04, 37, 1 0 2
39.86, 49, 1 0 4
40.70, 100, 1 1 1
43.64, 79, 0 1 5
45.19, 31, 1 1 3
50.63, 27, 1 0 6
77.23, 28, 2 1 5

Crystal structure
Cell: 3.076 3.293 13.350 Å, 90.00 90.00 90.00°
Fractional positions:
1 Ta 0.000 0.000 0.000
2 Ta 0.000 0.500 0.500
3 Nb 0.500 0.000 0.197
4 Nb 0.500 0.500 0.697
5 Ni 0.000 0.000 0.804
6 Ni 0.000 0.500 0.304
7 Ni 0.500 0.000 0.395
8 Ni 0.500 0.500 0.895
9 B 0.000 0.000 0.633
10 B 0.000 0.500 0.133
11 B 0.500 0.000 0.563
12 B 0.500 0.500 0.063


[2]
LuNiSnPt: simulated XRD peak list (Cu Kα, 1.54184 Å), based on a crystal structure in OQMD, relaxed with GGA-PBE.
Kinematic intensities with the Lorentz-polarization factor, no thermal factor.

Main lines, low angle first (2θ = 10–80°):
2theta, I_rel, index
25.31, 19, 1 0 1
31.06, 41, 1 0 2
38.97, 100, 1 0 3
40.57, 100, 1 1 0
57.52, 32, 2 0 3
69.49, 14, 1 0 6
72.74, 32, 2 1 3
73.81, 17, 3 0 0

Crystal structure
Cell: 4.447 4.447 8.668 Å, 90.00 90.00 120.00°
Fractional positions:
1 Lu 0.333 0.667 0.000
2 Lu 0.667 0.333 0.500
3 Ni 0.333 0.667 0.666
4 Ni 0.667 0.333 0.166
5 Sn 0.000 0.000 0.240
6 Sn 0.000 0.000 0.740
7 Pt 0.333 0.667 0.346
8 Pt 0.667 0.333 0.846


Which formula does entry 1 have?
TaNbNi2B2